Diffraction record for YHg2F11. The powder diffractogram is calculated, not measured: it uses a DFT-relaxed cell (PBE, Alexandria) and Cu Kα (weighted mean of Kα1 and Kα2).
Neutral-atom scattering factors, no anomalous dispersion.

Atomic structure:
Cell lengths 8.7223, 10.2298, 10.6024 Å; angles 90.00, 90.00, 90.00 degrees
Space group Ibam (No. 72)
Asymmetric unit:
1 Y 0.0000 0.0000 0.2500 [4 per cell]
2 Hg 0.2000 0.2912 0.0000 [8 per cell]
3 F 0.0000 0.5000 0.0000 [4 per cell]
4 F 0.0808 0.3458 0.5000 [8 per cell]
5 F 0.0998 0.1718 0.1406 [16 per cell]
6 F 0.2035 0.0787 0.3674 [16 per cell]

Largest 10 diffraction maxima, by angle, 5 to 70 degrees two-theta:
two_theta  I/Imax  hkl
16.72  75  0 0 2
17.34  36  0 2 0
21.45  45  1 1 2
21.82  49  1 2 1
23.71  59  2 1 1
24.18  100  0 2 2
26.46  60  2 0 2
26.87  47  2 2 0
43.71  43  2 2 4
44.97  35  1 4 3

---

Diffraction record for Zn2Hg2F7. The powder diffractogram is calculated, not measured: it uses a DFT-relaxed cell (PBE, Alexandria) and Cu Kα (weighted mean of Kα1 and Kα2).
Neutral-atom scattering factors, no anomalous dispersion.

Atomic structure:
Cell lengths 8.4848, 6.5900, 5.3843 Å; angles 90.00, 93.79, 90.00 degrees
Space group C2/m (No. 12)
Asymmetric unit:
1 Zn 0.2494 0.0000 0.4724 [4 per cell]
2 Hg 0.0000 0.2888 0.0000 [4 per cell]
3 F 0.0000 0.5000 0.5000 [2 per cell]
4 F 0.0477 0.0000 0.2546 [4 per cell]
5 F 0.2298 0.2226 0.7371 [8 per cell]

Largest 10 diffraction maxima, by angle, 5 to 70 degrees two-theta:
two_theta  I/Imax  hkl
16.50  46  0 0 1
25.92  90  2 0 -1
27.68  75  2 0 1
31.86  100  0 2 1
33.35  32  0 0 2
34.50  46  2 2 0
42.72  36  4 0 0
47.68  41  2 2 -2
49.78  35  2 2 2
53.29  33  4 2 -1

---

Diffraction record for ZrHg2F6. The powder diffractogram is calculated, not measured: it uses a DFT-relaxed cell (PBE, Alexandria) and Cu Kα (weighted mean of Kα1 and Kα2).
Neutral-atom scattering factors, no anomalous dispersion.

Atomic structure:
Cell lengths 5.4608, 6.7409, 9.3286 Å; angles 87.00, 87.80, 81.87 degrees
Space group P-1 (No. 2)
Asymmetric unit:
1 Zr 0.2406 0.1140 0.3969 [2 per cell]
2 Hg 0.2162 0.1411 0.8940 [2 per cell]
3 Hg 0.2825 0.5072 0.8322 [2 per cell]
4 F 0.0491 0.6703 0.6251 [2 per cell]
5 F 0.0621 0.0728 0.6073 [2 per cell]
6 F 0.1889 0.8247 0.9299 [2 per cell]
7 F 0.2889 0.9951 0.2042 [2 per cell]
8 F 0.4176 0.3277 0.2904 [2 per cell]
9 F 0.4872 0.8365 0.4538 [2 per cell]

Largest 10 diffraction maxima, by angle, 5 to 70 degrees two-theta:
two_theta  I/Imax  hkl
9.50  71  0 0 1
18.73  42  1 0 1
19.25  33  1 0 -1
22.58  38  1 -1 0
22.77  67  0 1 2
24.85  100  1 0 2
25.65  62  1 0 -2
33.16  38  2 0 0
42.67  37  1 1 4
45.15  41  -1 1 4

---

Diffraction record for KHo3F10. The powder diffractogram is calculated, not measured: it uses a DFT-relaxed cell (PBE, Alexandria) and Cu Kα (weighted mean of Kα1 and Kα2).
Neutral-atom scattering factors, no anomalous dispersion.

Atomic structure:
Cell lengths 11.6026, 11.6026, 11.6026 Å; angles 90.00, 90.00, 90.00 degrees
Space group Fm-3m (No. 225)
Asymmetric unit:
1 K 0.2500 0.2500 0.2500 [8 per cell]
2 Ho 0.0000 0.0000 0.2404 [24 per cell]
3 F 0.0000 0.1648 0.3352 [48 per cell]
4 F 0.1118 0.1118 0.1118 [32 per cell]

Largest 10 diffraction maxima, by angle, 5 to 70 degrees two-theta:
two_theta  I/Imax  hkl
15.27  21  2 0 0
21.66  21  2 2 0
26.61  100  2 2 2
30.83  41  4 0 0
40.39  6  3 3 3
44.16  48  4 4 0
46.99  9  6 0 0
52.30  55  6 2 2
54.82  13  4 4 4
64.22  8  8 0 0

---

Diffraction record for KHoF4. The powder diffractogram is calculated, not measured: it uses a DFT-relaxed cell (PBE, Alexandria) and Cu Kα (weighted mean of Kα1 and Kα2).
Neutral-atom scattering factors, no anomalous dispersion.

Atomic structure:
Cell lengths 6.1096, 3.6031, 15.5549 Å; angles 90.00, 90.00, 90.00 degrees
Space group Pnma (No. 62)
Asymmetric unit:
1 K 0.2237 0.2500 0.2015 [4 per cell]
2 Ho 0.2494 0.7500 0.4414 [4 per cell]
3 F 0.0041 0.2500 0.0561 [4 per cell]
4 F 0.0960 0.2500 0.8133 [4 per cell]
5 F 0.1081 0.2500 0.3702 [4 per cell]
6 F 0.1328 0.2500 0.5362 [4 per cell]

Largest 10 diffraction maxima, by angle, 5 to 70 degrees two-theta:
two_theta  I/Imax  hkl
11.38  100  0 0 2
18.47  63  1 0 2
27.18  77  1 0 4
29.24  31  2 0 0
29.34  88  1 1 1
30.21  40  0 1 3
38.22  27  0 1 5
42.54  55  2 1 3
48.83  31  2 1 5
50.55  53  3 0 4

---

Diffraction record for KNaHo2F8. The powder diffractogram is calculated, not measured: it uses a DFT-relaxed cell (PBE, Alexandria) and Cu Kα (weighted mean of Kα1 and Kα2).
Neutral-atom scattering factors, no anomalous dispersion.

Atomic structure:
Cell lengths 5.9185, 3.8469, 7.6728 Å; angles 90.00, 90.04, 90.00 degrees
Space group P2/m (No. 10)
Asymmetric unit:
1 K 0.0000 0.0000 0.0000 [1 per cell]
2 Na 0.0000 0.0000 0.5000 [1 per cell]
3 Ho 0.5003 0.5000 0.2542 [2 per cell]
4 F 0.2793 0.5000 0.4998 [2 per cell]
5 F 0.2859 0.0000 0.7402 [2 per cell]
6 F 0.2870 0.0000 0.2595 [2 per cell]
7 F 0.2929 0.5000 0.9999 [2 per cell]

Largest 10 diffraction maxima, by angle, 5 to 70 degrees two-theta:
two_theta  I/Imax  hkl
14.97  60  1 0 0
23.15  34  0 1 0
27.68  100  1 1 0
32.97  11  0 1 2
36.39  16  1 1 2
38.38  14  2 1 0
45.32  47  2 1 2
47.26  11  0 2 0
52.12  17  3 1 0
55.69  21  1 2 2